No. 1
CaAlPd: calculated X-ray powder pattern (Cu Kα, 1.54184 Å), based on the GGA-PBE geometry in the Materials Project.
Kinematic intensities with the Lorentz-polarization factor, no thermal factor.

Structure:
Unit cell a=5.759 b=7.866 c=5.629 alpha=90.00 beta=90.00 gamma=90.00
Space group Pbcm (No. 57)
One atom of each set of equivalent atoms:
Ca 0.136 0.100 0.250 (multiplicity 4)
Al 0.396 0.750 0.000 (multiplicity 4)
Pd 0.371 0.025 0.750 (multiplicity 4)

Main lines, in order of falling intensity (2θ from 10° to 80°):
(2 1 1), 2θ 36.9, intensity 100; (1 0 0), 2θ 15.4, intensity 53; (0 0 2), 2θ 31.8, intensity 48; (0 2 2), 2θ 39.4, intensity 43; (1 1 1), 2θ 24.8, intensity 38; (0 2 0), 2θ 22.6, intensity 36; (1 2 2), 2θ 42.5, intensity 24; (1 3 1), 2θ 41.1, intensity 24; (2 1 3), 2θ 60.0, intensity 23; (1 3 0), 2θ 37.7, intensity 16

***

No. 2
CaAlPt: calculated X-ray powder pattern (Cu Kα, 1.54184 Å), based on the GGA-PBE geometry in the Materials Project.
Kinematic intensities with the Lorentz-polarization factor, no thermal factor.

Structure:
Unit cell a=7.259 b=4.289 c=7.840 alpha=90.00 beta=90.00 gamma=90.00
Space group Pnma (No. 62)
One atom of each set of equivalent atoms:
Ca 0.023 0.250 0.177 (multiplicity 4)
Al 0.144 0.250 0.567 (multiplicity 4)
Pt 0.211 0.750 0.385 (multiplicity 4)

Main lines, in order of falling intensity (2θ from 10° to 80°):
(1 1 1), 2θ 26.7, intensity 100; (1 0 2), 2θ 25.8, intensity 96; (2 1 1), 2θ 34.3, intensity 80; (0 1 1), 2θ 23.6, intensity 44; (0 1 3), 2θ 40.4, intensity 42; (2 0 0), 2θ 24.5, intensity 37; (0 2 0), 2θ 42.1, intensity 34; (1 2 2), 2θ 50.1, intensity 33; (1 1 2), 2θ 33.3, intensity 32; (2 1 3), 2θ 47.8, intensity 27

***

No. 3
CaAl2S4: calculated X-ray powder pattern (Cu Kα, 1.54184 Å), based on the GGA-PBE geometry in the Materials Project.
Kinematic intensities with the Lorentz-polarization factor, no thermal factor.

Structure:
Unit cell a=12.133 b=20.148 c=20.371 alpha=90.00 beta=90.00 gamma=90.00
Space group Fddd (No. 70, origin choice 2)
One atom of each set of equivalent atoms:
Ca 0.125 0.125 0.125 (multiplicity 8)
Ca 0.125 0.125 0.373 (multiplicity 16)
Ca 0.125 0.125 0.625 (multiplicity 8)
Al 0.084 0.304 0.250 (multiplicity 32)
Al 0.123 0.262 0.751 (multiplicity 32)
S 0.001 0.000 0.584 (multiplicity 32)
S 0.001 0.000 0.915 (multiplicity 32)
S 0.003 0.345 0.499 (multiplicity 32)
S 0.015 0.079 0.751 (multiplicity 32)

Main lines, in order of falling intensity (2θ from 10° to 80°):
(4 4 4), 2θ 38.9, intensity 100; (2 6 2), 2θ 31.7, intensity 74; (2 2 6), 2θ 31.5, intensity 71; (2 2 4), 2θ 24.5, intensity 59; (0 0 8), 2θ 35.2, intensity 30; (2 6 0), 2θ 30.4, intensity 27; (6 2 6), 2θ 53.5, intensity 24; (2 10 6), 2θ 55.1, intensity 23; (0 0 4), 2θ 17.4, intensity 22; (0 8 4), 2θ 39.9, intensity 22

***

No. 4
Ca5Al2Sb6: calculated X-ray powder pattern (Cu Kα, 1.54184 Å), based on the GGA-PBE geometry in the Materials Project.
Kinematic intensities with the Lorentz-polarization factor, no thermal factor.

Structure:
Unit cell a=12.132 b=14.144 c=4.499 alpha=90.00 beta=90.00 gamma=90.00
Space group Pbam (No. 55)
One atom of each set of equivalent atoms:
Ca 0.000 0.000 0.000 (multiplicity 2)
Ca 0.093 0.247 0.000 (multiplicity 4)
Ca 0.173 0.514 0.000 (multiplicity 4)
Al 0.169 0.711 0.500 (multiplicity 4)
Sb 0.025 0.400 0.500 (multiplicity 4)
Sb 0.156 0.093 0.500 (multiplicity 4)
Sb 0.161 0.822 0.000 (multiplicity 4)

Main lines, in order of falling intensity (2θ from 10° to 80°):
(1 2 1), 2θ 24.6, intensity 100; (3 1 1), 2θ 30.4, intensity 72; (2 3 1), 2θ 31.2, intensity 65; (3 5 1), 2θ 43.9, intensity 58; (0 4 1), 2θ 32.2, intensity 57; (5 2 1), 2θ 44.3, intensity 57; (0 0 2), 2θ 40.1, intensity 57; (3 1 0), 2θ 22.9, intensity 56; (3 3 0), 2θ 29.1, intensity 52; (2 1 1), 2θ 25.4, intensity 49

***

No. 5
Ca3AlSb3: calculated X-ray powder pattern (Cu Kα, 1.54184 Å), based on the GGA-PBE geometry in the Materials Project.
Kinematic intensities with the Lorentz-polarization factor, no thermal factor.

Structure:
Unit cell a=12.969 b=4.524 c=14.348 alpha=90.00 beta=90.00 gamma=90.00
Space group Pnma (No. 62)
One atom of each set of equivalent atoms:
Ca 0.058 0.250 0.112 (multiplicity 4)
Ca 0.150 0.750 0.497 (multiplicity 4)
Ca 0.228 0.750 0.779 (multiplicity 4)
Al 0.068 0.250 0.703 (multiplicity 4)
Sb 0.040 0.250 0.350 (multiplicity 4)
Sb 0.114 0.250 0.891 (multiplicity 4)
Sb 0.243 0.750 0.119 (multiplicity 4)

Main lines, in order of falling intensity (2θ from 10° to 80°):
(3 0 2), 2θ 24.0, intensity 100; (0 0 4), 2θ 24.8, intensity 79; (1 1 2), 2θ 24.3, intensity 54; (2 1 3), 2θ 30.5, intensity 48; (2 1 4), 2θ 34.8, intensity 44; (0 2 0), 2θ 39.9, intensity 43; (3 1 1), 2θ 29.2, intensity 38; (4 1 0), 2θ 34.0, intensity 37; (5 1 1), 2θ 40.6, intensity 29; (2 1 5), 2θ 39.7, intensity 27

***

No. 6
CaAlSi: calculated X-ray powder pattern (Cu Kα, 1.54184 Å), based on the GGA-PBE geometry in the Materials Project.
Kinematic intensities with the Lorentz-polarization factor, no thermal factor.

Structure:
Unit cell a=4.2065 b=4.2065 c=21.7822 alpha=90.00 beta=90.00 gamma=120.00
Space group P-6m2 (No. 187)
One atom of each set of equivalent atoms:
Ca 0.0000 0.0000 0.0000 (multiplicity 1)
Ca 0.0000 0.0000 0.1990 (multiplicity 2)
Ca 0.0000 0.0000 0.4012 (multiplicity 2)
Al 0.3333 0.6667 0.0880 (multiplicity 2)
Al 0.6667 0.3333 0.3090 (multiplicity 2)
Al 0.6667 0.3333 0.5000 (multiplicity 1)
Si 0.3333 0.6667 0.2927 (multiplicity 2)
Si 0.3333 0.6667 0.5000 (multiplicity 1)
Si 0.6667 0.3333 0.1063 (multiplicity 2)

Main lines, in order of falling intensity (2θ from 10° to 80°):
(1 0 5), 2θ 32.0, intensity 100; (1 1 0), 2θ 43.0, intensity 42; (1 1 10), 2θ 61.3, intensity 24; (2 0 5), 2θ 54.6, intensity 20; (2 1 5), 2θ 71.9, intensity 16; (0 0 10), 2θ 41.5, intensity 14; (1 0 15), 2θ 69.7, intensity 7; (3 0 0), 2θ 78.8, intensity 6; (1 0 0), 2θ 24.4, intensity 4; (1 0 9), 2θ 45.0, intensity 2

***

No. 7
CaAlSi: calculated X-ray powder pattern (Cu Kα, 1.54184 Å), based on the GGA-PBE geometry in the Materials Project.
Kinematic intensities with the Lorentz-polarization factor, no thermal factor.

Structure:
Unit cell a=4.2041 b=4.2041 c=4.3811 alpha=90.00 beta=90.00 gamma=120.00
Space group P-6m2 (No. 187)
One atom of each set of equivalent atoms:
Ca 0.0000 0.0000 0.0000 (multiplicity 1)
Al 0.6667 0.3333 0.5000 (multiplicity 1)
Si 0.3333 0.6667 0.5000 (multiplicity 1)

Main lines, in order of falling intensity (2θ from 10° to 80°):
(1 0 1), 2θ 32.0, intensity 100; (1 1 0), 2θ 43.0, intensity 40; (1 1 2), 2θ 61.1, intensity 27; (2 0 1), 2θ 54.6, intensity 19; (2 1 1), 2θ 71.9, intensity 16; (0 0 2), 2θ 41.2, intensity 15; (1 0 3), 2θ 69.3, intensity 9; (3 0 0), 2θ 78.9, intensity 6; (1 0 0), 2θ 24.4, intensity 4; (0 0 1), 2θ 20.3, intensity 2

***

No. 8
CaAlSi: calculated X-ray powder pattern (Cu Kα, 1.54184 Å), based on the GGA-PBE geometry in the Materials Project.
Kinematic intensities with the Lorentz-polarization factor, no thermal factor.

Structure:
Unit cell a=4.2056 b=4.2056 c=26.2860 alpha=90.00 beta=90.00 gamma=120.00
Space group P6_3/mmc (No. 194)
One atom of each set of equivalent atoms:
Ca 0.0000 0.0000 0.0000 (multiplicity 2)
Ca 0.0000 0.0000 0.1671 (multiplicity 4)
Al 0.3333 0.6667 0.0906 (multiplicity 4)
Al 0.3333 0.6667 0.2500 (multiplicity 2)
Si 0.3333 0.6667 0.5786 (multiplicity 4)
Si 0.3333 0.6667 0.7500 (multiplicity 2)

Main lines, in order of falling intensity (2θ from 10° to 80°):
(1 0 6), 2θ 32.0, intensity 100; (1 1 0), 2θ 43.0, intensity 41; (1 1 12), 2θ 61.1, intensity 25; (2 0 6), 2θ 54.6, intensity 20; (2 1 6), 2θ 71.9, intensity 16; (0 0 12), 2θ 41.2, intensity 14; (1 0 18), 2θ 69.3, intensity 8; (3 0 0), 2θ 78.8, intensity 6; (1 0 0), 2θ 24.4, intensity 4; (0 0 6), 2θ 20.3, intensity 2